Structure and computed XRD peak list of Li2NbFe3O8 (a structure optimized by DFT (PBE+U); copper Kα).
Intensities are scaled so that the largest is 100.

```
data_Li2NbFe3O8
_chemical_formula_sum 'Li8 Nb4 Fe12 O32'
_cell_length_a 8.5904
_cell_length_b 8.5904
_cell_length_c 8.5904
_cell_angle_alpha 90.00
_cell_angle_beta 90.00
_cell_angle_gamma 90.00
_symmetry_space_group_name_H-M 'P 43 3 2'
_symmetry_Int_Tables_number 212
_symmetry_space_group_name_Hall 'P 4acd 2ab 3'
loop_
_atom_site_label
_atom_site_type_symbol
_atom_site_fract_x
_atom_site_fract_y
_atom_site_fract_z
_atom_site_occupancy
Li1 Li 0.0020 0.4980 0.5020 1
Nb1 Nb 0.1250 0.8750 0.3750 1
Fe1 Fe 0.1192 0.1308 0.6250 1
O1 O 0.1106 0.3845 0.1138 1
O2 O 0.1133 0.6133 0.8867 1
```

The 12 most intense peaks (2θ = 10–90°), in order of rising 2θ:
2theta, I (rel.)
17.88, 100.0
34.63, 50.7
36.22, 16.1
42.07, 55.1
46.06, 13.0
55.59, 20.7
61.02, 33.9
64.14, 15.3
73.07, 8.5
76.89, 9.0
79.72, 7.8
87.15, 8.4